Diffraction record for Co2Se2O7. The powder diffraction line list is simulated, not measured: it uses DFT lattice parameters and positions (GGA+U) and Cu Kα (weighted mean of Kα1 and Kα2).
Neutral-atom scattering factors, no anomalous dispersion.

Atomic structure:
```
data_Co2Se2O7
_chemical_formula_sum 'Co4 Se4 O14'
_symmetry_space_group_name_H-M 'P -1'
_symmetry_Int_Tables_number 2
_symmetry_space_group_name_Hall '-P 1'
_cell_length_a 5.8627
_cell_length_b 5.9709
_cell_length_c 9.6528
_cell_angle_alpha 75.98
_cell_angle_beta 74.87
_cell_angle_gamma 85.42
loop_
_atom_site_label
_atom_site_type_symbol
_atom_site_fract_x
_atom_site_fract_y
_atom_site_fract_z
Co1 Co 0.0982 0.2450 0.0136
Co2 Co 0.2265 0.0804 0.5394
Se1 Se 0.0266 0.4812 0.3034
Se2 Se 0.4913 0.9548 0.8132
O1 O 0.0152 0.8078 0.5955
O2 O 0.0758 0.5283 0.8532
O3 O 0.1970 0.9722 0.9064
O4 O 0.2035 0.3711 0.6073
O5 O 0.3754 0.2789 0.1042
O6 O 0.3801 0.8074 0.1969
O7 O 0.4858 0.9190 0.6434
```

Peak list (10 most intense, 10° ≤ 2θ ≤ 90°, in order of rising 2θ)
- (0 1 0), 15.3°, d = 5.792 Å, I 17.3
- (1 0 0), 15.7°, d = 5.659 Å, I 13.3
- (1 1 0), 21.8°, d = 4.084 Å, I 100.0
- (1 -1 0), 22.2°, d = 4.012 Å, I 14.9
- (1 -1 2), 29.5°, d = 3.031 Å, I 26.1
- (1 0 3), 29.8°, d = 2.995 Å, I 44.0
- (-1 1 2), 30.0°, d = 2.977 Å, I 66.4
- (0 2 2), 32.6°, d = 2.743 Å, I 15.9
- (2 -1 1), 35.7°, d = 2.513 Å, I 14.0
- (2 -1 5), 58.9°, d = 1.567 Å, I 11.4